Record 1
Structure and simulated powder diffractogram of LiFeSi2O6 (DFT lattice parameters and positions (PBE+U); copper Kα).
No peak broadening, texture or thermal motion is included.

Peak list (10 most intense, 2θ = 15–90°, in order of rising 2θ)
| two_theta | d_spacing | I/Imax | hkl |
| --- | --- | --- | --- |
| 18.05 | 4.915 | 81 | 0 2 1 |
| 18.86 | 4.705 | 138 | 2 0 1 |
| 21.18 | 4.195 | 198 | 1 1 2 |
| 23.80 | 3.739 | 187 | 0 2 2 |
| 24.43 | 3.644 | 138 | 2 0 2 |
| 24.63 | 3.615 | 1000 | 2 2 1 |
| 29.21 | 3.057 | 84 | 1 1 3 |
| 31.90 | 2.805 | 92 | 3 1 2 |
| 46.85 | 1.939 | 89 | 4 4 0 |
| 50.87 | 1.795 | 73 | 3 3 4 |

Atomic structure:
a b c (Å): 10.6714 11.2950 9.9761
angles (deg): 90.00 90.00 90.00
Space group C222_1 (No. 20)
Unique sites:
Li  0.0000  0.1003  0.2500 x4
Li  0.1010  0.5000  0.5000 x4
Fe  0.0922  0.2458  0.9556 x8
Si  0.0000  0.4531  0.7500 x4
Si  0.0712  0.0000  0.5000 x4
Si  0.2442  0.3884  0.2029 x8
O  0.0004  0.3804  0.6085 x8
O  0.0103  0.1165  0.0439 x8
O  0.1258  0.4623  0.2720 x8
O  0.1533  0.0157  0.6397 x8
O  0.1870  0.1832  0.8205 x8
O  0.1973  0.3020  0.0860 x8


Record 2
Structure and simulated powder diffractogram of LiFeSiO4 (DFT lattice parameters and positions (PBE+U); copper Kα).
No peak broadening, texture or thermal motion is included.

Peak list (10 most intense, 2θ = 15–90°, in order of rising 2θ)
| two_theta | d_spacing | I/Imax | hkl |
| --- | --- | --- | --- |
| 19.05 | 4.659 | 968 | 0 2 1 |
| 24.20 | 3.677 | 221 | 0 2 2 |
| 27.03 | 3.299 | 292 | 0 3 1 |
| 27.19 | 3.279 | 426 | 0 1 3 |
| 31.05 | 2.881 | 370 | 0 2 3 |
| 31.19 | 2.867 | 536 | 1 1 -3 |
| 32.12 | 2.786 | 1000 | 2 1 0 |
| 33.40 | 2.683 | 209 | 2 1 1 |
| 34.94 | 2.568 | 414 | 1 2 3 |
| 64.46 | 1.446 | 203 | 4 0 0 |

Atomic structure:
a b c (Å): 5.7830 10.4384 10.3640
angles (deg): 90.00 90.72 90.00
Space group P2_1/c (No. 14)
Unique sites:
Li  0.1486  0.1698  0.3374 x4
Li  0.3348  0.6495  0.1102 x4
Fe  0.1422  0.6265  0.5091 x4
Fe  0.3783  0.0838  0.7650 x4
Si  0.1184  0.6051  0.8247 x4
Si  0.3760  0.1517  0.0745 x4
O  0.1078  0.0072  0.6751 x4
O  0.1123  0.6909  0.6883 x4
O  0.1269  0.6975  0.9536 x4
O  0.1424  0.0599  0.0720 x4
O  0.3331  0.2466  0.6884 x4
O  0.3573  0.5159  0.8276 x4
O  0.3893  0.5671  0.3886 x4
O  0.4179  0.2077  0.9289 x4


Repeat the second record exactly.
Structure and simulated powder diffractogram of LiFeSiO4 (DFT lattice parameters and positions (PBE+U); copper Kα).
No peak broadening, texture or thermal motion is included.

Peak list (10 most intense, 2θ = 15–90°, in order of rising 2θ)
| two_theta | d_spacing | I/Imax | hkl |
| --- | --- | --- | --- |
| 19.05 | 4.659 | 968 | 0 2 1 |
| 24.20 | 3.677 | 221 | 0 2 2 |
| 27.03 | 3.299 | 292 | 0 3 1 |
| 27.19 | 3.279 | 426 | 0 1 3 |
| 31.05 | 2.881 | 370 | 0 2 3 |
| 31.19 | 2.867 | 536 | 1 1 -3 |
| 32.12 | 2.786 | 1000 | 2 1 0 |
| 33.40 | 2.683 | 209 | 2 1 1 |
| 34.94 | 2.568 | 414 | 1 2 3 |
| 64.46 | 1.446 | 203 | 4 0 0 |

Atomic structure:
a b c (Å): 5.7830 10.4384 10.3640
angles (deg): 90.00 90.72 90.00
Space group P2_1/c (No. 14)
Unique sites:
Li  0.1486  0.1698  0.3374 x4
Li  0.3348  0.6495  0.1102 x4
Fe  0.1422  0.6265  0.5091 x4
Fe  0.3783  0.0838  0.7650 x4
Si  0.1184  0.6051  0.8247 x4
Si  0.3760  0.1517  0.0745 x4
O  0.1078  0.0072  0.6751 x4
O  0.1123  0.6909  0.6883 x4
O  0.1269  0.6975  0.9536 x4
O  0.1424  0.0599  0.0720 x4
O  0.3331  0.2466  0.6884 x4
O  0.3573  0.5159  0.8276 x4
O  0.3893  0.5671  0.3886 x4
O  0.4179  0.2077  0.9289 x4